Ta4Hg2PdSe12: simulated XRD peak list (Cu Kα, 1.54184 Å), based on a structure optimized by DFT (PBE).
Intensities are scaled so that the largest is 100.

Atomic structure:
```
19
Lattice="7.3183 -1.8050 0.0000 7.3183 1.8050 0.0000 -5.8199 0.0000 18.7157" Properties=species:S:1:pos:R:3 pbc="T T T"
Ta -0.8259 0.0000 2.7613
Ta 0.0908 0.0000 8.3259
Ta 8.7259 0.0000 10.3898
Ta 9.6426 0.0000 15.9543
Hg 2.9405 0.0000 13.3503
Hg 5.8763 0.0000 5.3654
Pd 7.3183 0.0000 0.0000
Se -2.8034 0.0000 14.6871
Se 0.6563 0.0000 4.9996
Se -0.4087 0.0000 10.8444
Se 0.4660 0.0000 16.4772
Se 5.2380 0.0000 1.3098
Se 3.2890 0.0000 10.7847
Se 5.5278 0.0000 7.9310
Se 3.5788 0.0000 17.4059
Se 8.3507 0.0000 2.2384
Se 9.2254 0.0000 7.8712
Se 8.1605 0.0000 13.7161
Se 11.6201 0.0000 4.0285
```

Principal peaks in the range 2θ = 5–70°, in order of rising 2θ:
two_theta  I/Imax
12.13  100
12.67  69
13.37  82
30.23  39
32.59  49
33.52  32
33.73  39
38.68  37
39.64  28
39.91  54